[1]
This entry pairs a crystal structure of Bi3S4 with its calculated XRD peak list. Radiation: Cu Kα X-rays. Structure: a GGA-PBE-relaxed structure.
Neutral-atom scattering factors, no anomalous dispersion.

Cell and atoms:
abc: 15.018 4.031 7.263
angles: 90.00 113.66 90.00
Atoms (fractional coordinates):
1 Bi 0.000 0.000 0.000
2 Bi 0.230 0.500 0.717
3 Bi 0.270 0.000 0.283
4 Bi 0.500 0.500 0.000
5 Bi 0.730 0.000 0.717
6 Bi 0.770 0.500 0.283
7 S 0.131 0.000 0.450
8 S 0.131 0.500 0.993
9 S 0.369 0.000 0.007
10 S 0.369 0.500 0.550
11 S 0.631 0.000 0.993
12 S 0.631 0.500 0.450
13 S 0.869 0.000 0.550
14 S 0.869 0.500 0.007

Largest 10 diffraction maxima, in order of rising 2θ, 15° ≤ 2θ ≤ 90°:
- 2θ = 22.0°, I 32.4
- 2θ = 24.6°, I 55.9
- 2θ = 25.3°, I 100.0
- 2θ = 25.9°, I 29.4
- 2θ = 29.5°, I 30.1
- 2θ = 34.3°, I 32.2
- 2θ = 35.7°, I 57.5
- 2θ = 37.3°, I 51.3
- 2θ = 37.6°, I 50.6
- 2θ = 43.7°, I 42.6



[2]
This entry pairs a crystal structure of CeTh4As5 with its calculated XRD peak list. Radiation: Cu Kα X-rays. Structure: a GGA-PBE-relaxed structure.
Neutral-atom scattering factors, no anomalous dispersion.

Cell and atoms:
abc: 7.356 7.356 7.356
angles: 99.61 99.61 131.77
Atoms (fractional coordinates):
1 Ce 0.000 0.000 0.000
2 Th 0.200 0.401 0.601
3 Th 0.401 0.800 0.200
4 Th 0.599 0.200 0.800
5 Th 0.800 0.599 0.399
6 As 0.100 0.702 0.801
7 As 0.298 0.100 0.398
8 As 0.500 0.500 0.000
9 As 0.702 0.900 0.602
10 As 0.900 0.298 0.199

Largest 10 diffraction maxima, in order of rising 2θ, 15° ≤ 2θ ≤ 90°:
- 2θ = 25.7°, I 39.2
- 2θ = 29.7°, I 100.0
- 2θ = 42.6°, I 76.4
- 2θ = 50.4°, I 20.2
- 2θ = 52.8°, I 27.3
- 2θ = 61.8°, I 12.8
- 2θ = 68.0°, I 8.5
- 2θ = 70.0°, I 35.4
- 2θ = 77.9°, I 26.5
- 2θ = 83.6°, I 6.7



[3]
This entry pairs a crystal structure of RbRu2Pt with its calculated XRD peak list. Radiation: Cu Kα X-rays. Structure: a GGA-PBE-relaxed structure.
Neutral-atom scattering factors, no anomalous dispersion.

Cell and atoms:
abc: 4.810 4.810 18.406
angles: 90.00 90.00 90.00
Atoms (fractional coordinates):
1 Rb 0.000 0.000 0.000
2 Rb 0.000 0.500 0.250
3 Rb 0.500 0.000 0.750
4 Rb 0.500 0.500 0.500
5 Ru 0.003 0.250 0.625
6 Ru 0.250 0.503 0.875
7 Ru 0.250 0.997 0.375
8 Ru 0.497 0.250 0.125
9 Ru 0.503 0.750 0.125
10 Ru 0.750 0.003 0.375
11 Ru 0.750 0.497 0.875
12 Ru 0.997 0.750 0.625
13 Pt 0.000 0.000 0.500
14 Pt 0.000 0.500 0.750
15 Pt 0.500 0.000 0.250
16 Pt 0.500 0.500 0.000

Largest 10 diffraction maxima, in order of rising 2θ, 15° ≤ 2θ ≤ 90°:
- 2θ = 19.1°, I 100.0
- 2θ = 28.0°, I 96.9
- 2θ = 37.4°, I 22.5
- 2θ = 38.7°, I 22.4
- 2θ = 39.2°, I 30.0
- 2θ = 39.6°, I 38.4
- 2θ = 42.4°, I 31.6
- 2θ = 44.6°, I 22.4
- 2θ = 57.8°, I 43.4
- 2θ = 61.8°, I 20.8



Repeat the second record exactly.
This entry pairs a crystal structure of CeTh4As5 with its calculated XRD peak list. Radiation: Cu Kα X-rays. Structure: a GGA-PBE-relaxed structure.
Neutral-atom scattering factors, no anomalous dispersion.

Cell and atoms:
abc: 7.356 7.356 7.356
angles: 99.61 99.61 131.77
Atoms (fractional coordinates):
1 Ce 0.000 0.000 0.000
2 Th 0.200 0.401 0.601
3 Th 0.401 0.800 0.200
4 Th 0.599 0.200 0.800
5 Th 0.800 0.599 0.399
6 As 0.100 0.702 0.801
7 As 0.298 0.100 0.398
8 As 0.500 0.500 0.000
9 As 0.702 0.900 0.602
10 As 0.900 0.298 0.199

Largest 10 diffraction maxima, in order of rising 2θ, 15° ≤ 2θ ≤ 90°:
- 2θ = 25.7°, I 39.2
- 2θ = 29.7°, I 100.0
- 2θ = 42.6°, I 76.4
- 2θ = 50.4°, I 20.2
- 2θ = 52.8°, I 27.3
- 2θ = 61.8°, I 12.8
- 2θ = 68.0°, I 8.5
- 2θ = 70.0°, I 35.4
- 2θ = 77.9°, I 26.5
- 2θ = 83.6°, I 6.7